(1)
The following is a simulated PXRD pattern of CsAl. It was derived from DFT lattice parameters and positions (PBE), using copper Kα.
Kinematic intensities with the Lorentz-polarization factor, no thermal factor.

a = 8.3546 Å, b = 8.3546 Å, c = 8.3546 Å
α = 90.00°, β = 90.00°, γ = 90.00°
Space group Fd-3m (No. 227, origin choice 2)
Unique sites:
1 Cs 0.1250 0.1250 0.1250 [8 per cell]
2 Al 0.1250 0.1250 0.6250 [8 per cell]

Most intense lines, 2θ = 10–90°, low angle first:
18.39 deg, 4.824 Å, I 47, (1 1 1); 30.26 deg, 2.954 Å, I 100, (2 2 0); 35.64 deg, 2.519 Å, I 27, (3 1 1); 43.32 deg, 2.089 Å, I 18, (4 0 0); 47.43 deg, 1.917 Å, I 12, (3 3 1); 53.75 deg, 1.705 Å, I 39, (4 2 2); 57.30 deg, 1.608 Å, I 9, (5 1 1); 62.93 deg, 1.477 Å, I 12, (4 4 0); 71.41 deg, 1.321 Å, I 17, (6 2 0); 87.34 deg, 1.116 Å, I 20, (6 4 2)



(2)
The following is a simulated PXRD pattern of Dy3CuGeSe7. It was derived from DFT lattice parameters and positions (PBE), using copper Kα.
Kinematic intensities with the Lorentz-polarization factor, no thermal factor.

a = 10.3329 Å, b = 10.3329 Å, c = 6.1078 Å
α = 90.00°, β = 90.00°, γ = 120.00°
Space group P6_3 (No. 173)
Unique sites:
1 Dy 0.1358 0.7799 0.0000 [6 per cell]
2 Cu 0.0000 0.0000 0.0529 [2 per cell]
3 Ge 0.3333 0.6667 0.4171 [2 per cell]
4 Se 0.0925 0.5179 0.2505 [6 per cell]
5 Se 0.1029 0.8402 0.5349 [6 per cell]
6 Se 0.3333 0.6667 0.8041 [2 per cell]

Most intense lines, 2θ = 10–90°, low angle first:
24.67 deg, 3.609 Å, I 63, (2 0 1); 30.21 deg, 2.959 Å, I 49, (2 1 1); 30.94 deg, 2.890 Å, I 57, (1 0 2); 33.43 deg, 2.680 Å, I 45, (3 0 1); 34.73 deg, 2.583 Å, I 100, (2 2 0); 35.59 deg, 2.522 Å, I 59, (2 0 2); 36.19 deg, 2.482 Å, I 56, (3 1 0); 39.18 deg, 2.299 Å, I 39, (1 3 1); 39.77 deg, 2.267 Å, I 53, (2 1 2); 46.02 deg, 1.972 Å, I 33, (2 2 2)



(3)
The following is a simulated PXRD pattern of In2Ni6C. It was derived from DFT lattice parameters and positions (PBE), using copper Kα.
Kinematic intensities with the Lorentz-polarization factor, no thermal factor.

a = 3.8368 Å, b = 3.8368 Å, c = 7.5058 Å
α = 90.00°, β = 90.00°, γ = 90.00°
Space group P4/mmm (No. 123)
Unique sites:
1 In 0.0000 0.0000 0.2388 [2 per cell]
2 Ni 0.0000 0.5000 0.0000 [2 per cell]
3 Ni 0.0000 0.5000 0.5000 [2 per cell]
4 Ni 0.5000 0.5000 0.2467 [2 per cell]
5 C 0.5000 0.5000 0.5000 [1 per cell]

Most intense lines, 2θ = 10–90°, low angle first:
23.18 deg, 3.837 Å, I 5, (1 0 0); 33.40 deg, 2.683 Å, I 6, (1 0 2); 41.05 deg, 2.199 Å, I 100, (1 1 2); 47.39 deg, 1.918 Å, I 35, (2 0 0); 48.52 deg, 1.876 Å, I 16, (0 0 4); 69.27 deg, 1.357 Å, I 10, (2 2 0); 70.16 deg, 1.341 Å, I 19, (2 0 4); 83.79 deg, 1.154 Å, I 23, (3 1 2); 85.47 deg, 1.136 Å, I 10, (1 1 6); 89.06 deg, 1.099 Å, I 10, (2 2 4)



(4)
The following is a simulated PXRD pattern of Ti2MnGe. It was derived from DFT lattice parameters and positions (PBE), using copper Kα.
Kinematic intensities with the Lorentz-polarization factor, no thermal factor.

a = 6.0836 Å, b = 6.0836 Å, c = 6.0836 Å
α = 90.00°, β = 90.00°, γ = 90.00°
Space group F-43m (No. 216)
Unique sites:
1 Ti 0.0000 0.0000 0.0000 [4 per cell]
2 Ti 0.2500 0.2500 0.2500 [4 per cell]
3 Mn 0.2500 0.2500 0.7500 [4 per cell]
4 Ge 0.0000 0.0000 0.5000 [4 per cell]

Most intense lines, 2θ = 10–90°, low angle first:
25.36 deg, 3.512 Å, I 4, (1 1 1); 29.36 deg, 3.042 Å, I 1, (2 0 0); 42.01 deg, 2.151 Å, I 100, (2 2 0); 49.70 deg, 1.834 Å, I 2, (3 1 1); 60.91 deg, 1.521 Å, I 15, (4 0 0); 67.06 deg, 1.396 Å, I 1, (3 3 1); 76.75 deg, 1.242 Å, I 30, (4 2 2); 82.36 deg, 1.171 Å, I 1, (5 1 1)



(5)
The following is a simulated PXRD pattern of La2Tl3Pb3. It was derived from DFT lattice parameters and positions (PBE), using copper Kα.
Kinematic intensities with the Lorentz-polarization factor, no thermal factor.

a = 4.9615 Å, b = 4.9649 Å, c = 9.7645 Å
α = 90.00°, β = 90.00°, γ = 90.00°
Space group Pmmm (No. 47)
Unique sites:
1 La 0.0000 0.0000 0.2462 [2 per cell]
2 Tl 0.0000 0.5000 0.0000 [1 per cell]
3 Tl 0.0000 0.5000 0.5000 [1 per cell]
4 Tl 0.5000 0.0000 0.5000 [1 per cell]
5 Pb 0.5000 0.0000 0.0000 [1 per cell]
6 Pb 0.5000 0.5000 0.2482 [2 per cell]

Most intense lines, 2θ = 10–90°, low angle first:
31.39 deg, 2.850 Å, I 100, (1 1 2); 36.20 deg, 2.482 Å, I 34, (2 0 0); 36.82 deg, 2.441 Å, I 16, (0 0 4); 52.12 deg, 1.755 Å, I 12, (2 2 0); 52.59 deg, 1.740 Å, I 24, (2 0 4); 62.12 deg, 1.494 Å, I 29, (3 1 2); 62.95 deg, 1.476 Å, I 14, (1 1 6); 65.51 deg, 1.425 Å, I 12, (2 2 4); 85.32 deg, 1.138 Å, I 6, (3 3 2); 86.06 deg, 1.130 Å, I 12, (3 1 6)



(6)
The following is a simulated PXRD pattern of Hf8MgN8O4. It was derived from DFT lattice parameters and positions (PBE), using copper Kα.
Kinematic intensities with the Lorentz-polarization factor, no thermal factor.

a = 5.4213 Å, b = 5.4574 Å, c = 10.6498 Å
α = 76.04°, β = 76.49°, γ = 60.32°
Space group P1 (No. 1)
Unique sites:
1 Hf 0.0000 0.0000 0.0000 [1 per cell]
2 Hf 0.0805 0.1236 0.7153 [1 per cell]
3 Hf 0.2161 0.2894 0.2922 [1 per cell]
4 Hf 0.3329 0.3575 0.9794 [1 per cell]
5 Hf 0.4771 0.5031 0.5297 [1 per cell]
6 Hf 0.5647 0.6667 0.2155 [1 per cell]
7 Hf 0.7053 0.7714 0.7931 [1 per cell]
8 Hf 0.8071 0.8471 0.5076 [1 per cell]
9 Mg 0.9033 0.9623 0.2539 [1 per cell]
10 N 0.2169 0.6025 0.3744 [1 per cell]
11 N 0.2485 0.0378 0.1324 [1 per cell]
12 N 0.3337 0.7540 0.8769 [1 per cell]
13 N 0.4775 0.1264 0.6358 [1 per cell]
14 N 0.5541 0.8830 0.3680 [1 per cell]
15 N 0.7121 0.0846 0.8738 [1 per cell]
16 N 0.7735 0.5116 0.6308 [1 per cell]
17 N 0.9771 0.6436 0.1353 [1 per cell]
18 O 0.0393 0.3716 0.8737 [1 per cell]
19 O 0.1010 0.8053 0.6299 [1 per cell]
20 O 0.5948 0.3126 0.1399 [1 per cell]
21 O 0.8430 0.2509 0.3776 [1 per cell]

Most intense lines, 2θ = 10–90°, low angle first:
21.98 deg, 4.043 Å, I 27, (1 0 -1); 22.37 deg, 3.974 Å, I 15, (1 1 2); 29.73 deg, 3.005 Å, I 41, (1 1 -2); 30.00 deg, 2.978 Å, I 37, (0 1 3); 30.28 deg, 2.952 Å, I 41, (1 0 3); 32.80 deg, 2.730 Å, I 100, (1 -1 0); 33.05 deg, 2.710 Å, I 51, (2 1 1); 35.05 deg, 2.560 Å, I 19, (0 0 4); 44.83 deg, 2.022 Å, I 28, (0 2 -2); 48.39 deg, 1.881 Å, I 23, (2 1 -3)



(7)
The following is a simulated PXRD pattern of Ba2MgV2S6. It was derived from DFT lattice parameters and positions (PBE), using copper Kα.
Kinematic intensities with the Lorentz-polarization factor, no thermal factor.

a = 12.3707 Å, b = 6.8064 Å, c = 6.2019 Å
α = 90.00°, β = 106.06°, γ = 90.00°
Space group Cm (No. 8)
Unique sites:
1 Ba 0.0000 0.0000 0.0000 [2 per cell]
2 Ba 0.2504 0.0000 0.6092 [2 per cell]
3 Mg 0.3535 0.5000 0.4105 [2 per cell]
4 V 0.0986 0.5000 0.3504 [2 per cell]
5 V 0.1041 0.5000 0.8759 [2 per cell]
6 S 0.0158 0.2505 0.5574 [4 per cell]
7 S 0.2042 0.2703 0.1682 [4 per cell]
8 S 0.2558 0.5000 0.6985 [2 per cell]
9 S 0.4509 0.0000 0.0289 [2 per cell]

Most intense lines, 2θ = 10–90°, low angle first:
17.93 deg, 4.948 Å, I 60, (2 0 -1); 22.60 deg, 3.934 Å, I 46, (1 1 1); 26.02 deg, 3.425 Å, I 52, (3 1 0); 26.19 deg, 3.403 Å, I 61, (0 2 0); 26.74 deg, 3.333 Å, I 60, (3 1 -1); 30.04 deg, 2.975 Å, I 55, (4 0 0); 31.72 deg, 2.821 Å, I 65, (1 1 -2); 31.92 deg, 2.804 Å, I 99, (2 2 -1); 35.74 deg, 2.512 Å, I 100, (2 2 1); 37.32 deg, 2.409 Å, I 38, (2 0 2)



(8)
The following is a simulated PXRD pattern of Mg6ZnW. It was derived from DFT lattice parameters and positions (PBE), using copper Kα.
Kinematic intensities with the Lorentz-polarization factor, no thermal factor.

a = 4.8411 Å, b = 6.1211 Å, c = 10.5608 Å
α = 90.00°, β = 90.00°, γ = 90.00°
Space group Amm2 (No. 38)
Unique sites:
1 Mg 0.0000 0.0000 0.0000 [2 per cell]
2 Mg 0.0000 0.2364 0.2562 [4 per cell]
3 Mg 0.5000 0.0000 0.8319 [2 per cell]
4 Mg 0.5000 0.2437 0.5822 [4 per cell]
5 Zn 0.0000 0.0000 0.4808 [2 per cell]
6 W 0.5000 0.0000 0.3356 [2 per cell]

Most intense lines, 2θ = 10–90°, low angle first:
16.75 deg, 5.292 Å, I 100, (0 1 1); 24.94 deg, 3.571 Å, I 46, (1 0 2); 29.21 deg, 3.057 Å, I 18, (0 2 0); 33.85 deg, 2.648 Å, I 21, (0 2 2); 34.74 deg, 2.582 Å, I 30, (1 1 3); 37.14 deg, 2.421 Å, I 24, (2 0 0); 38.79 deg, 2.321 Å, I 94, (1 0 4); 41.00 deg, 2.201 Å, I 22, (2 1 1); 51.14 deg, 1.786 Å, I 17, (2 2 2); 68.06 deg, 1.378 Å, I 17, (3 0 4)



(9)
The following is a simulated PXRD pattern of Zr4Re2N. It was derived from DFT lattice parameters and positions (PBE), using copper Kα.
Kinematic intensities with the Lorentz-polarization factor, no thermal factor.

a = 12.5210 Å, b = 12.5210 Å, c = 12.5210 Å
α = 90.00°, β = 90.00°, γ = 90.00°
Space group Fd-3m (No. 227, origin choice 2)
Unique sites:
1 Zr 0.0000 0.0000 0.0000 [16 per cell]
2 Zr 0.0609 0.3750 0.8750 [48 per cell]
3 Re 0.0420 0.0420 0.2080 [32 per cell]
4 N 0.0000 0.0000 0.5000 [16 per cell]

Most intense lines, 2θ = 10–90°, low angle first:
12.24 deg, 7.229 Å, I 25, (1 1 1); 24.63 deg, 3.615 Å, I 9, (2 2 2); 35.11 deg, 2.556 Å, I 21, (4 2 2); 37.32 deg, 2.410 Å, I 100, (3 3 3); 40.77 deg, 2.213 Å, I 17, (4 4 0); 43.36 deg, 2.087 Å, I 21, (4 4 2); 52.17 deg, 1.753 Å, I 8, (7 1 1); 62.99 deg, 1.476 Å, I 30, (6 6 0); 68.71 deg, 1.366 Å, I 11, (8 4 2); 75.56 deg, 1.258 Å, I 22, (9 3 3)